Structure and computed X-ray diffraction stick pattern of ScB2Ir4 (a crystal structure in Alexandria, relaxed with PBE; Cu Kα (weighted mean of Kα1 and Kα2)).
Kinematic intensities with the Lorentz-polarization factor, no thermal factor.

Peak list (8 most intense, 2θ = 10–90°, by angle)
| two_theta | intensity |
| --- | --- |
| 26.26 | 34 |
| 33.30 | 77 |
| 34.92 | 100 |
| 39.09 | 71 |
| 41.52 | 83 |
| 41.92 | 65 |
| 43.16 | 70 |
| 46.56 | 39 |

Structural model:
```
ScB2Ir4
1.0
6.481 -2.832 0.000
6.481 2.832 0.000
-1.797 0.000 5.095
Sc B Ir
2 4 8
Direct
0.000 0.000 0.000
0.728 0.728 0.226
0.322 0.322 0.088
0.340 0.853 0.403
0.433 0.433 0.701
0.853 0.340 0.403
0.047 0.572 0.784
0.132 0.132 0.733
0.164 0.680 0.415
0.217 0.217 0.322
0.504 0.504 0.098
0.572 0.047 0.784
0.618 0.618 0.706
0.680 0.164 0.415
```